# Ge3W5
Theoretical XRD peak list, copper Kα. Input: a PBE-relaxed structure.
Peak positions follow from Bragg's law for the DFT cell and can differ from measured ones.

Atomic structure:
Cell lengths 6.424, 6.424, 12.139 Å; angles 90.00, 90.00, 90.00 degrees
Space group I4/mcm (No. 140)
Unique sites:
Ge: 0.000 0.000 0.250
Ge: 0.137 0.363 0.000
W: 0.000 0.000 0.000
W: 0.163 0.337 0.341

Largest 10 diffraction maxima, by angle, 2θ from 10° to 90°:
d = 2.796 Å, I 13, hkl 2 1 1
d = 2.523 Å, I 15, hkl 1 1 4
d = 2.343 Å, I 100, hkl 2 1 3
d = 2.206 Å, I 20, hkl 2 0 4
d = 2.032 Å, I 39, hkl 3 1 0
d = 2.023 Å, I 17, hkl 0 0 6
d = 1.454 Å, I 15, hkl 4 1 3
d = 1.434 Å, I 15, hkl 3 1 6
d = 1.221 Å, I 11, hkl 2 1 9
d = 1.144 Å, I 13, hkl 5 2 3